Theoretical powder XRD pattern of Re2NiIr8 for Cu Kα (λ = 1.5418 Å), from a GGA-PBE-relaxed structure.
No peak broadening, texture or thermal motion is included.

Cell and atoms:
```
data_Re2NiIr8
_chemical_formula_sum 'Re4 Ni2 Ir16'
_cell_length_a 4.3305
_cell_length_b 5.7450
_cell_length_c 13.0425
_cell_angle_alpha 90.00
_cell_angle_beta 90.00
_cell_angle_gamma 90.00
_space_group_name_H-M_alt 'I m m m'
_space_group_IT_number 71
_space_group_name_Hall '-I 2 2'
loop_
_atom_site_label
_atom_site_fract_x
_atom_site_fract_y
_atom_site_fract_z
Re1 0.0000 0.0000 0.1927
Ni1 0.0000 0.0000 0.5000
Ir1 0.0000 0.2304 0.0000
Ir2 0.0000 0.2746 0.3630
Ir3 0.0000 0.5000 0.1783
```

Most intense lines, 2θ = 10–90°, in order of rising 2θ:
two_theta	intensity	hkl
34.11	16	0 2 2
40.37	32	1 0 5
41.54	16	0 0 6
41.72	35	2 0 0
43.14	100	1 2 3
65.87	12	0 2 8
77.14	18	3 2 3
81.07	14	2 2 8

***

Theoretical powder XRD pattern of Dy2Fe15Si2CN for Cu Kα (λ = 1.5418 Å), from a GGA-PBE-relaxed structure.
No peak broadening, texture or thermal motion is included.

Cell and atoms:
```
data_Dy2Fe15Si2CN
_chemical_formula_sum 'Dy2 Fe15 Si2 C1 N1'
_cell_length_a 6.4485
_cell_length_b 6.4662
_cell_length_c 6.4703
_cell_angle_alpha 82.51
_cell_angle_beta 82.56
_cell_angle_gamma 82.50
_space_group_name_H-M_alt 'P -1'
_space_group_IT_number 2
loop_
_space_group_symop_operation_xyz
'x,y,z'
'-x,-y,-z'
loop_
_atom_site_label
_atom_site_fract_x
_atom_site_fract_y
_atom_site_fract_z
Dy1 0.1607 0.1490 0.1530
Fe1 0.0000 0.5000 0.5000
Fe2 0.1535 0.6460 0.1589
Fe3 0.1603 0.1621 0.6486
Fe4 0.1913 0.8074 0.5022
Fe5 0.2156 0.5081 0.7809
Fe6 0.3517 0.8460 0.8420
Fe7 0.4968 0.7763 0.2233
Fe8 0.5000 0.0000 0.5000
Fe9 0.5000 0.5000 0.0000
Si1 0.3998 0.3997 0.3982
C1 0.0000 0.5000 0.0000
N1 0.5000 0.0000 0.0000
```

Most intense lines, 2θ = 10–90°, in order of rising 2θ:
two_theta	intensity	hkl
29.91	54	2 0 1
32.88	24	1 0 -2
36.53	39	-2 1 1
37.60	31	2 2 0
42.42	72	0 2 -2
42.60	100	-1 2 2
42.71	23	3 0 0
43.20	45	2 2 2

***

Theoretical powder XRD pattern of Nd2H3N for Cu Kα (λ = 1.5418 Å), from a GGA-PBE-relaxed structure.
No peak broadening, texture or thermal motion is included.

Cell and atoms:
```
data_Nd2H3N
_chemical_formula_sum 'Nd4 H6 N2'
_cell_length_a 5.5714
_cell_length_b 5.5714
_cell_length_c 5.5714
_cell_angle_alpha 90.00
_cell_angle_beta 90.00
_cell_angle_gamma 90.00
_space_group_name_H-M_alt 'P n -3 m'
_space_group_IT_number 224
loop_
_space_group_symop_operation_xyz
'x,y,z'
'-x,-y,-z'
'-y,x+1/2,z+1/2'
'y,-x+1/2,-z+1/2'
'-x+1/2,-y+1/2,z'
'x+1/2,y+1/2,-z'
'y+1/2,-x,z+1/2'
'-y+1/2,x,-z+1/2'
'x,-y+1/2,-z+1/2'
'-x,y+1/2,z+1/2'
'-y,-x,-z'
'y,x,z'
'-x+1/2,y,-z+1/2'
'x+1/2,-y,z+1/2'
'y+1/2,x+1/2,-z'
'-y+1/2,-x+1/2,z'
'z,x,y'
'-z,-x,-y'
'z+1/2,-y,x+1/2'
'-z+1/2,y,-x+1/2'
'z,-x+1/2,-y+1/2'
'-z,x+1/2,y+1/2'
'z+1/2,y+1/2,-x'
'-z+1/2,-y+1/2,x'
'-z+1/2,x,-y+1/2'
'z+1/2,-x,y+1/2'
'-z,-y,-x'
'z,y,x'
'-z+1/2,-x+1/2,y'
'z+1/2,x+1/2,-y'
'-z,y+1/2,x+1/2'
'z,-y+1/2,-x+1/2'
'y,z,x'
'-y,-z,-x'
'x+1/2,z+1/2,-y'
'-x+1/2,-z+1/2,y'
'-y+1/2,z,-x+1/2'
'y+1/2,-z,x+1/2'
'-x,z+1/2,y+1/2'
'x,-z+1/2,-y+1/2'
'-y+1/2,-z+1/2,x'
'y+1/2,z+1/2,-x'
'-x,-z,-y'
'x,z,y'
'y,-z+1/2,-x+1/2'
'-y,z+1/2,x+1/2'
'x+1/2,-z,y+1/2'
'-x+1/2,z,-y+1/2'
loop_
_atom_site_label
_atom_site_fract_x
_atom_site_fract_y
_atom_site_fract_z
Nd1 0.0000 0.0000 0.0000
H1 0.2500 0.2500 0.7500
N1 0.2500 0.2500 0.2500
```

Most intense lines, 2θ = 10–90°, in order of rising 2θ:
two_theta	intensity	hkl
27.73	100	1 1 1
32.13	45	2 0 0
46.08	42	2 2 0
54.64	45	3 1 1
57.28	12	2 2 2
74.19	18	3 3 1
76.46	16	4 2 0
85.36	14	4 2 2

***

Theoretical powder XRD pattern of PmIn3Sn for Cu Kα (λ = 1.5418 Å), from a GGA-PBE-relaxed structure.
No peak broadening, texture or thermal motion is included.

Cell and atoms:
```
data_PmIn3Sn
_chemical_formula_sum 'Pm2 In6 Sn2'
_cell_length_a 5.2067
_cell_length_b 7.3585
_cell_length_c 7.2890
_cell_angle_alpha 90.00
_cell_angle_beta 90.00
_cell_angle_gamma 90.00
_space_group_name_H-M_alt 'P m m n'
_space_group_IT_number 59
loop_
_space_group_symop_operation_xyz
'x,y,z'
'-x,-y,-z'
'-x+1/2,-y+1/2,z'
'x+1/2,y+1/2,-z'
'x+1/2,-y,-z'
'-x+1/2,y,z'
'-x,y+1/2,-z'
'x,-y+1/2,z'
loop_
_atom_site_label
_atom_site_fract_x
_atom_site_fract_y
_atom_site_fract_z
Pm1 0.2500 0.2500 0.2163
In1 0.2500 0.0527 0.7416
In2 0.2500 0.7500 0.4678
Sn1 0.2500 0.7500 0.0675
```

Most intense lines, 2θ = 10–90°, in order of rising 2θ:
two_theta	intensity	hkl
32.22	100	1 2 1
32.36	97	1 1 2
34.45	50	2 0 0
34.64	14	0 2 2
53.05	26	0 3 3
60.36	32	3 2 1
64.81	20	2 3 3
71.46	20	1 5 2

***

Theoretical powder XRD pattern of Ca3AgHg3 for Cu Kα (λ = 1.5418 Å), from a GGA-PBE-relaxed structure.
No peak broadening, texture or thermal motion is included.

Cell and atoms:
```
data_Ca3AgHg3
_chemical_formula_sum 'Ca6 Ag2 Hg6'
_cell_length_a 3.8522
_cell_length_b 4.8387
_cell_length_c 20.6504
_cell_angle_alpha 90.00
_cell_angle_beta 90.00
_cell_angle_gamma 90.00
_space_group_name_H-M_alt 'I m m 2'
_space_group_IT_number 44
loop_
_space_group_symop_operation_xyz
'x,y,z'
'-x,-y,z'
'-x,y,z'
'x,-y,z'
'x+1/2,y+1/2,z+1/2'
'-x+1/2,-y+1/2,z+1/2'
'-x+1/2,y+1/2,z+1/2'
'x+1/2,-y+1/2,z+1/2'
loop_
_atom_site_label
_atom_site_fract_x
_atom_site_fract_y
_atom_site_fract_z
Ca1 0.0000 0.0000 0.0000
Ca2 0.0000 0.0000 0.3807
Ca3 0.0000 0.5000 0.1991
Ag1 0.0000 0.5000 0.7614
Hg1 0.0000 0.0000 0.5401
Hg2 0.0000 0.0000 0.8397
Hg3 0.0000 0.5000 0.6264
```

Most intense lines, 2θ = 10–90°, in order of rising 2θ:
two_theta	intensity	hkl
17.18	49	0 0 4
22.46	71	0 1 3
23.49	97	1 0 1
30.91	96	1 1 2
35.64	100	0 1 7
37.16	53	0 2 0
39.75	87	1 1 6
60.53	61	2 1 7

***

Theoretical powder XRD pattern of CuSbH for Cu Kα (λ = 1.5418 Å), from a GGA-PBE-relaxed structure.
No peak broadening, texture or thermal motion is included.

Cell and atoms:
```
data_CuSbH
_chemical_formula_sum 'Cu2 Sb2 H2'
_cell_length_a 4.2264
_cell_length_b 4.2264
_cell_length_c 6.6067
_cell_angle_alpha 90.00
_cell_angle_beta 90.00
_cell_angle_gamma 90.00
_space_group_name_H-M_alt 'P 4/n m m'
_space_group_IT_number 129
loop_
_space_group_symop_operation_xyz
'x,y,z'
'-x,-y,-z'
'-y+1/2,x,z'
'y+1/2,-x,-z'
'-x+1/2,-y+1/2,z'
'x+1/2,y+1/2,-z'
'y,-x+1/2,z'
'-y,x+1/2,-z'
'x+1/2,-y,-z'
'-x+1/2,y,z'
'-y,-x,-z'
'y,x,z'
'-x,y+1/2,-z'
'x,-y+1/2,z'
'y+1/2,x+1/2,-z'
'-y+1/2,-x+1/2,z'
loop_
_atom_site_label
_atom_site_fract_x
_atom_site_fract_y
_atom_site_fract_z
Cu1 0.2500 0.7500 0.0000
Sb1 0.2500 0.2500 0.2203
H1 0.2500 0.2500 0.4821
```

Most intense lines, 2θ = 10–90°, in order of rising 2θ:
two_theta	intensity	hkl
13.40	60	0 0 1
25.01	100	1 0 1
40.71	63	1 1 2
42.79	30	2 0 0
46.50	14	1 0 3
50.21	29	2 1 1
51.55	17	1 1 3
76.96	18	3 1 2

***

Theoretical powder XRD pattern of Ho3BeC2 for Cu Kα (λ = 1.5418 Å), from a GGA-PBE-relaxed structure.
No peak broadening, texture or thermal motion is included.

Cell and atoms:
```
data_Ho3BeC2
_chemical_formula_sum 'Ho12 Be4 C8'
_cell_length_a 6.7647
_cell_length_b 8.5911
_cell_length_c 7.2712
_cell_angle_alpha 90.00
_cell_angle_beta 90.00
_cell_angle_gamma 90.00
_space_group_name_H-M_alt 'I m m a'
_space_group_IT_number 74
_space_group_name_Hall '-I 2b 2'
loop_
_atom_site_label
_atom_site_fract_x
_atom_site_fract_y
_atom_site_fract_z
Ho1 0.0000 0.2500 0.0386
Ho2 0.2500 0.0465 0.7500
Be1 0.0000 0.2500 0.4345
C1 0.0000 0.2500 0.6863
C2 0.2500 0.2500 0.2500
```

Most intense lines, 2θ = 10–90°, in order of rising 2θ:
two_theta	intensity	hkl
17.91	36	1 0 1
27.49	26	1 2 1
32.26	65	0 2 2
33.70	100	2 2 0
36.28	67	2 0 2
43.22	19	2 3 1
56.72	35	2 3 3
61.87	31	2 2 4

***

Theoretical powder XRD pattern of LiAg2SbI6 for Cu Kα (λ = 1.5418 Å), from a GGA-PBE-relaxed structure.
No peak broadening, texture or thermal motion is included.

Cell and atoms:
```
data_LiAg2SbI6
_chemical_formula_sum 'Li4 Ag8 Sb4 I24'
_cell_length_a 14.4622
_cell_length_b 13.3944
_cell_length_c 7.8099
_cell_angle_alpha 90.00
_cell_angle_beta 99.65
_cell_angle_gamma 90.00
_space_group_name_H-M_alt 'C 1 2/c 1'
_space_group_IT_number 15
loop_
_space_group_symop_operation_xyz
'x,y,z'
'-x,-y,-z'
'-x,y,-z+1/2'
'x,-y,z+1/2'
'x+1/2,y+1/2,z'
'-x+1/2,-y+1/2,-z'
'-x+1/2,y+1/2,-z+1/2'
'x+1/2,-y+1/2,z+1/2'
loop_
_atom_site_label
_atom_site_fract_x
_atom_site_fract_y
_atom_site_fract_z
Li1 0.0000 0.0890 0.2500
Ag1 0.1787 0.4038 0.2943
Sb1 0.0000 0.2495 0.7500
I1 0.1164 0.0820 0.6210
I2 0.1221 0.2295 0.1075
I3 0.1275 0.4088 0.6315
```

Most intense lines, 2θ = 10–90°, in order of rising 2θ:
two_theta	intensity	hkl
24.37	100	2 0 -2
24.98	40	4 0 0
28.12	31	2 0 2
28.53	51	3 3 -1
40.10	56	1 3 -3
40.40	24	0 6 0
40.89	51	5 3 1
41.16	28	6 0 -2

***

Theoretical powder XRD pattern of Ti6RhAu for Cu Kα (λ = 1.5418 Å), from a GGA-PBE-relaxed structure.
No peak broadening, texture or thermal motion is included.

Cell and atoms:
```
data_Ti6RhAu
_chemical_formula_sum 'Ti18 Rh3 Au3'
_cell_length_a 7.1647
_cell_length_b 7.1647
_cell_length_c 8.7600
_cell_angle_alpha 90.00
_cell_angle_beta 90.00
_cell_angle_gamma 120.00
_space_group_name_H-M_alt 'R -3'
_space_group_IT_number 148
_space_group_name_Hall '-R 3'
loop_
_atom_site_label
_atom_site_fract_x
_atom_site_fract_y
_atom_site_fract_z
Ti1 0.0019 0.7514 0.2512
Rh1 0.0000 0.0000 0.5000
Au1 0.0000 0.0000 0.0000
```

Most intense lines, 2θ = 10–90°, in order of rising 2θ:
two_theta	intensity	hkl
24.87	60	1 1 0
35.46	46	2 0 2
39.81	36	2 1 1
43.80	100	3 -2 2
57.56	13	2 1 4
69.43	37	4 1 0
69.53	12	2 -1 6
85.83	14	4 2 2

***

Theoretical powder XRD pattern of Li3Zr4P6O24 for Cu Kα (λ = 1.5418 Å), from a GGA-PBE-relaxed structure.
No peak broadening, texture or thermal motion is included.

Cell and atoms:
```
data_Li3Zr4P6O24
_chemical_formula_sum 'Li3 Zr4 P6 O24'
_cell_length_a 9.0009
_cell_length_b 9.0091
_cell_length_c 9.0146
_cell_angle_alpha 119.86
_cell_angle_beta 91.29
_cell_angle_gamma 118.47
_space_group_name_H-M_alt 'P 1'
_space_group_IT_number 1
loop_
_space_group_symop_operation_xyz
'x,y,z'
loop_
_atom_site_label
_atom_site_fract_x
_atom_site_fract_y
_atom_site_fract_z
Li1 0.0000 0.0000 0.0000
Li2 0.1402 0.6504 0.5082
Li3 0.6395 0.7354 0.1260
Zr1 0.1811 0.5890 0.1406
Zr2 0.4589 0.1483 0.9797
Zr3 0.6723 0.5746 0.6370
Zr4 0.9546 0.1541 0.4904
P1 0.0717 0.6580 0.8023
P2 0.2664 0.3548 0.3074
P3 0.3647 0.3805 0.8228
P4 0.5588 0.0747 0.3164
P5 0.7896 0.0816 0.8185
P6 0.8479 0.6511 0.3124
O1 0.0096 0.4580 0.6123
O2 0.0239 0.6588 0.3097
O3 0.0863 0.1931 0.3020
O4 0.1236 0.6490 0.9584
O5 0.2040 0.2831 0.6649
O6 0.2298 0.8327 0.7981
O7 0.2483 0.5271 0.3274
O8 0.2833 0.2280 0.1213
O9 0.3573 0.5187 0.0129
O10 0.3715 0.2079 0.8113
O11 0.3937 0.9000 0.3103
O12 0.4280 0.4606 0.4695
O13 0.5105 0.0816 0.1558
O14 0.5471 0.5363 0.8255
O15 0.6151 0.0692 0.8360
O16 0.6279 0.2837 0.4978
O17 0.6850 0.4529 0.1407
O18 0.7061 0.0279 0.2985
O19 0.7789 0.9018 0.8141
O20 0.8137 0.0714 0.6457
O21 0.8156 0.6604 0.4829
O22 0.8651 0.8321 0.3142
O23 0.9228 0.7008 0.8253
O24 0.9565 0.2825 0.9849
```

Most intense lines, 2θ = 10–90°, in order of rising 2θ:
two_theta	intensity	hkl
13.73	18	1 0 -1
19.69	100	0 1 -2
22.79	19	1 1 -2
23.06	18	1 -2 0
23.28	19	1 -2 2
27.66	31	2 0 -2
33.96	23	0 3 -2
34.50	13	-3 2 1